1.
Simulated X-ray diffraction stick pattern
Compound: Li7Co5O12
Radiation: Cu Ka
Structure: a DFT-relaxed cell (PBE+U, the Materials Project)
No peak broadening, texture or thermal motion is included.

Main lines, by angle (2θ from 10° to 90°):
h k l  d/Å  2theta  intensity
0 1 -1  4.790  18.5  1000
0 1 2  2.493  36.0  156
-2 1 1  2.476  36.3  142
2 1 0  2.460  36.5  125
0 0 3  2.077  43.6  289
2 -2 0  2.060  43.9  281
2 2 -1  2.042  44.4  270
-2 2 3  1.458  63.9  149

Crystal structure
a b c (Å): 5.7767 5.8269 6.5709
angles (deg): 103.18 102.59 90.52
Space group P-1 (No. 2)
One atom of each set of equivalent atoms:
Li 0.0000 0.0000 0.0000
Li 0.0000 0.5000 0.0000
Li 0.1645 0.1676 0.6730
Li 0.3268 0.8325 0.3228
Li 0.5000 0.5000 0.0000
Co 0.1644 0.6734 0.6693
Co 0.3273 0.3256 0.3252
Co 0.5000 0.0000 0.0000
O 0.0821 0.5775 0.3337
O 0.0907 0.1104 0.3407
O 0.2673 0.7662 0.9889
O 0.2759 0.2330 0.0141
O 0.4181 0.4413 0.6540
O 0.4192 0.9228 0.6893

---

2.
Simulated X-ray diffraction stick pattern
Compound: Ba2Cr2CuF14
Radiation: Cu Ka
Structure: a DFT-relaxed cell (PBE+U, the Materials Project)
No peak broadening, texture or thermal motion is included.

Main lines, by angle (2θ from 10° to 90°):
h k l  d/Å  2theta  intensity
1 1 0  5.034  17.6  246
1 1 2  4.175  21.3  298
0 0 4  3.771  23.6  353
3 1 0  3.563  25.0  1000
3 1 -2  3.239  27.5  270
4 0 2  3.203  27.9  217
1 1 -4  3.027  29.5  331
6 0 0  2.375  37.9  183

Crystal structure
a b c (Å): 14.2677 5.3797 15.0851
angles (deg): 90.00 91.01 90.00
Space group C2/c (No. 15)
One atom of each set of equivalent atoms:
Ba 0.1785 0.0694 0.1270
Cr 0.1227 0.0236 0.3741
Cu 0.0000 0.5000 0.0000
F 0.0034 0.0650 0.8482
F 0.0646 0.4411 0.1051
F 0.0847 0.2104 0.4764
F 0.1260 0.2831 0.2968
F 0.1393 0.2508 0.9514
F 0.1735 0.1804 0.7836
F 0.2459 0.1019 0.4105

---

3.
Simulated X-ray diffraction stick pattern
Compound: Li4Ti3Mn5O16
Radiation: Cu Ka
Structure: a DFT-relaxed cell (PBE+U, the Materials Project)
No peak broadening, texture or thermal motion is included.

Main lines, by angle (2θ from 10° to 90°):
h k l  d/Å  2theta  intensity
0 0 2  4.859  18.3  1000
2 0 -1  4.594  19.3  761
1 1 1  4.504  19.7  503
2 0 1  4.442  20.0  328
3 1 -2  2.570  34.9  490
2 2 -1  2.499  35.9  347
2 2 -3  2.036  44.5  320
6 2 0  1.478  62.9  425

Crystal structure
a b c (Å): 10.2259 5.9519 9.7264
angles (deg): 90.00 92.52 90.00
Space group Cm (No. 8)
One atom of each set of equivalent atoms:
Li 0.0000 0.0000 0.0000
Li 0.0031 0.0000 0.4996
Li 0.1883 0.5000 0.3971
Li 0.3504 0.0000 0.8971
Ti 0.1010 0.2504 0.7204
Ti 0.1835 0.0000 0.2149
Mn 0.1799 0.5000 0.9932
Mn 0.3437 0.5000 0.7136
Mn 0.3530 0.0000 0.4909
Mn 0.4321 0.2447 0.2200
O 0.0048 0.5000 0.3338
O 0.0096 0.0000 0.8138
O 0.0154 0.0000 0.3145
O 0.0322 0.5000 0.8368
O 0.0891 0.2359 0.1105
O 0.1667 0.0000 0.6108
O 0.1777 0.5000 0.6106
O 0.2504 0.2686 0.8405
O 0.2799 0.2177 0.3409
O 0.3435 0.0000 0.1110
O 0.3461 0.5000 0.1123
O 0.4327 0.2472 0.6017

---

4.
Simulated X-ray diffraction stick pattern
Compound: V3O5F
Radiation: Cu Ka
Structure: a DFT-relaxed cell (PBE+U, the Materials Project)
No peak broadening, texture or thermal motion is included.

Main lines, by angle (2θ from 10° to 90°):
h k l  d/Å  2theta  intensity
2 0 -2  3.294  27.1  953
0 2 0  3.193  27.9  947
1 1 2  2.543  35.3  1000
0 0 3  2.241  40.2  191
2 2 1  2.208  40.9  198
1 1 -4  1.718  53.3  592
1 3 2  1.688  54.3  545
1 3 -4  1.367  68.7  400

Crystal structure
a b c (Å): 8.9842 6.3859 7.2646
angles (deg): 90.00 112.23 90.00
Space group C2/m (No. 12)
One atom of each set of equivalent atoms:
V 0.0000 0.0000 0.0000
V 0.0000 0.0000 0.5000
V 0.1498 0.5000 0.1677
V 0.1692 0.5000 0.6560
O 0.0000 0.3068 0.5000
O 0.0700 0.5000 0.8718
O 0.1658 0.2032 0.1706
O 0.2346 0.0000 0.5322
F 0.1094 0.0000 0.8023

---

5.
Simulated X-ray diffraction stick pattern
Compound: Cs2NaMnF6
Radiation: Cu Ka
Structure: a DFT-relaxed cell (PBE+U, the Materials Project)
No peak broadening, texture or thermal motion is included.

Main lines, by angle (2θ from 10° to 90°):
h k l  d/Å  2theta  intensity
0 1 5  4.138  21.5  380
1 0 7  3.472  25.7  493
1 1 0  3.188  28.0  1000
2 0 5  2.525  35.6  315
0 2 7  2.348  38.3  418
0 2 10  2.069  43.7  159
3 0 0  1.841  49.5  246
2 2 0  1.594  57.9  192

Crystal structure
a b c (Å): 6.3753 6.3753 31.2525
angles (deg): 90.00 90.00 120.00
Space group R-3m (No. 166, hexagonal axes)
One atom of each set of equivalent atoms:
Cs 0.0000 0.0000 0.1268
Cs 0.0000 0.0000 0.2844
Na 0.0000 0.0000 0.4036
Mn 0.0000 0.0000 0.0000
Mn 0.0000 0.0000 0.5000
F 0.0333 0.5167 0.7034
F 0.0492 0.5246 0.1291

---

6.
Simulated X-ray diffraction stick pattern
Compound: BaSrNdWO6
Radiation: Cu Ka
Structure: a DFT-relaxed cell (PBE+U, the Materials Project)
No peak broadening, texture or thermal motion is included.

Main lines, by angle (2θ from 10° to 90°):
h k l  d/Å  2theta  intensity
2 0 0  4.313  20.6  91
2 2 0  3.050  29.3  1000
4 0 0  2.156  41.9  292
4 2 2  1.761  51.9  410
4 4 0  1.525  60.7  184
6 2 0  1.364  68.8  185
4 4 4  1.245  76.5  61
6 4 2  1.153  84.0  219

Crystal structure
a b c (Å): 8.6258 8.6258 8.6258
angles (deg): 90.00 90.00 90.00
Space group F-43m (No. 216)
One atom of each set of equivalent atoms:
Ba 0.0000 0.0000 0.0000
Sr 0.0000 0.0000 0.5000
Nd 0.2500 0.2500 0.2500
W 0.2500 0.2500 0.7500
O 0.0187 0.2500 0.7500

---

7.
Simulated X-ray diffraction stick pattern
Compound: LaTiZnCrO6
Radiation: Cu Ka
Structure: a DFT-relaxed cell (PBE+U, the Materials Project)
No peak broadening, texture or thermal motion is included.

Main lines, by angle (2θ from 10° to 90°):
h k l  d/Å  2theta  intensity
0 0 2  3.864  23.0  153
0 2 0  2.782  32.2  239
1 1 1  2.732  32.8  1000
2 0 -2  2.686  33.4  221
0 0 4  1.932  47.0  413
1 3 -3  1.597  57.7  146
3 1 -5  1.559  59.3  233
2 2 2  1.366  68.7  128

Crystal structure
a b c (Å): 5.3716 5.5647 9.4020
angles (deg): 90.00 124.75 90.00
Space group Pc (No. 7)
One atom of each set of equivalent atoms:
La 0.0000 0.2046 0.0000
Ti 0.7568 0.2743 0.2474
Zn 0.5119 0.2322 0.4994
Cr 0.2607 0.2545 0.7509
O 0.0029 0.4606 0.2078
O 0.1381 0.2294 0.5005
O 0.4397 0.2750 0.0060
O 0.5106 0.0548 0.3069
O 0.5988 0.4715 0.8029
O 0.8952 0.0559 0.6952